For ScCr2AgH4O10, a PBE+U-relaxed structure gives the calculated X-ray diffraction stick pattern in this record (Cu Ka).
Peak positions follow from Bragg's law for the DFT cell and can differ from measured ones.

Most intense lines, 2θ from 10° to 90°, in order of falling intensity:
2θ/deg  I (rel.)  hkl
29.93  100  1 -1 2
16.78  96  0 1 0
31.40  88  2 -1 0
29.15  86  1 0 -2
13.37  63  0 0 1
25.24  57  0 1 1
29.66  55  1 1 0
28.78  47  1 -2 1
28.12  46  1 1 -1
42.26  29  0 2 -3

Structural model:
```
ScCr2AgH4O10
1.0
5.700 0.000 0.000
-2.726 5.712 0.000
-0.205 -2.720 6.622
Sc Cr Ag H O
1 2 1 4 10
direct
0.000 0.000 0.000
0.365 0.771 0.680
0.635 0.229 0.320
0.000 0.000 0.500
0.230 0.468 0.949
0.275 0.527 0.193
0.725 0.473 0.807
0.770 0.532 0.051
0.167 0.919 0.741
0.204 0.393 0.054
0.235 0.510 0.724
0.322 0.040 0.182
0.379 0.702 0.442
0.621 0.298 0.558
0.678 0.960 0.818
0.765 0.490 0.276
0.796 0.607 0.946
0.833 0.081 0.259
```